Simulated X-ray powder pattern
Compound: AlGaSb2
Radiation: λ = 1.5418 Å (Cu Kα)
Structure: a PBE-relaxed structure
No peak broadening, texture or thermal motion is included.

The 8 most intense peaks (10 to 80 degrees two-theta), low angle first:
h k l	d_spacing	I_rel
0 0 6	3.595	100
1 0 4	3.113	15
1 1 0	2.201	67
1 1 6	1.877	48
2 0 8	1.557	11
0 1 14	1.428	19
2 1 4	1.392	5
3 0 0	1.271	22

a b c (Å): 4.4037 4.4037 21.5569
angles (deg): 90.00 90.00 120.00
Space group R3m (No. 160, hexagonal axes)
Asymmetric unit:
1 Al 0.0000 0.0000 0.0000 (multiplicity 3)
2 Ga 0.0000 0.0000 0.5000 (multiplicity 3)
3 Sb 0.0000 0.0000 0.1251 (multiplicity 3)
4 Sb 0.0000 0.0000 0.6252 (multiplicity 3)

=====

Simulated X-ray powder pattern
Compound: NdCu4P2
Radiation: λ = 1.5418 Å (Cu Kα)
Structure: a PBE-relaxed structure
No peak broadening, texture or thermal motion is included.

The 8 most intense peaks (10 to 80 degrees two-theta), low angle first:
h k l	d_spacing	I_rel
0 4 0	3.659	34
1 4 1	2.588	68
4 2 0	2.572	41
3 2 1	2.503	87
3 3 1	2.338	100
2 5 1	2.152	31
1 7 0	2.057	28
0 0 2	1.939	59

a b c (Å): 10.987 14.661 3.878
angles (deg): 90.00 90.00 90.00
Space group Pnnm (No. 58)
Asymmetric unit:
1 Nd 0.000 0.000 0.000 (multiplicity 2)
2 Nd 0.123 0.274 0.000 (multiplicity 4)
3 Cu 0.068 0.564 0.000 (multiplicity 4)
4 Cu 0.074 0.832 0.500 (multiplicity 4)
5 Cu 0.099 0.447 0.500 (multiplicity 4)
6 Cu 0.171 0.716 0.000 (multiplicity 4)
7 Cu 0.235 0.965 0.500 (multiplicity 4)
8 Cu 0.242 0.589 0.500 (multiplicity 4)
9 P 0.059 0.666 0.500 (multiplicity 4)
10 P 0.134 0.115 0.500 (multiplicity 4)
11 P 0.207 0.872 0.000 (multiplicity 4)